No. 1
The following is a theoretical PXRD pattern of Cd2S13. It was derived from a PBE-relaxed structure, using Cu Ka.
No peak broadening, texture or thermal motion is included.

Cell and atoms:
Cell lengths 6.5442, 6.5442, 26.8962 Å; angles 90.00, 90.00, 120.00 degrees
Space group R-3m (No. 166, hexagonal axes)
Unique sites:
1 Cd 0.0000 0.0000 0.1452
2 S 0.0000 0.0000 0.0000
3 S 0.0798 0.5399 0.4290
4 S 0.1084 0.5542 0.2841

Most intense lines, 10 to 90 degrees two-theta, low angle first:
16.0°, I 71, hkl 1 0 1
20.5°, I 82, hkl 1 0 4
27.3°, I 52, hkl 1 1 0
29.1°, I 50, hkl 1 1 3
30.9°, I 85, hkl 0 1 8
33.9°, I 54, hkl 1 1 6
39.5°, I 100, hkl 0 2 7
42.3°, I 81, hkl 2 1 1
46.7°, I 35, hkl 1 0 13
52.6°, I 42, hkl 3 0 6

No. 2
The following is a theoretical PXRD pattern of Sm4Sn3. It was derived from a PBE-relaxed structure, using Cu Ka.
No peak broadening, texture or thermal motion is included.

Cell and atoms:
Cell lengths 9.4906, 9.4906, 9.4906 Å; angles 90.00, 90.00, 90.00 degrees
Space group I-43d (No. 220)
Unique sites:
1 Sm 0.0698 0.0698 0.0698
2 Sn 0.0000 0.2500 0.3750

Most intense lines, 10 to 90 degrees two-theta, low angle first:
29.8°, I 100, hkl 3 1 0
35.4°, I 65, hkl 3 2 1
42.6°, I 10, hkl 4 2 0
46.9°, I 17, hkl 4 2 2
48.9°, I 25, hkl 4 3 1
60.1°, I 26, hkl 6 1 1
61.8°, I 12, hkl 6 2 0
63.5°, I 15, hkl 5 4 1
73.3°, I 17, hkl 7 2 1
88.7°, I 11, hkl 7 5 0

No. 3
The following is a theoretical PXRD pattern of DyPaTl. It was derived from a PBE-relaxed structure, using Cu Ka.
No peak broadening, texture or thermal motion is included.

Cell and atoms:
Cell lengths 6.2030, 8.4803, 13.0767 Å; angles 90.00, 90.00, 90.00 degrees
Space group Fmmm (No. 69)
Unique sites:
1 Dy 0.2500 0.2500 0.2500
2 Pa 0.0000 0.1518 0.0000
3 Tl 0.0000 0.0000 0.3866

Most intense lines, 10 to 90 degrees two-theta, low angle first:
27.1°, I 84, hkl 1 1 3
28.8°, I 22, hkl 2 0 0
31.9°, I 84, hkl 2 0 2
34.6°, I 72, hkl 0 2 4
35.6°, I 100, hkl 1 3 1
35.9°, I 29, hkl 2 2 0
38.5°, I 25, hkl 2 2 2
38.8°, I 57, hkl 1 1 5
55.5°, I 29, hkl 3 3 1
59.9°, I 46, hkl 2 4 4

Repeat the second record exactly.
The following is a theoretical PXRD pattern of Sm4Sn3. It was derived from a PBE-relaxed structure, using Cu Ka.
No peak broadening, texture or thermal motion is included.

Cell and atoms:
Cell lengths 9.4906, 9.4906, 9.4906 Å; angles 90.00, 90.00, 90.00 degrees
Space group I-43d (No. 220)
Unique sites:
1 Sm 0.0698 0.0698 0.0698
2 Sn 0.0000 0.2500 0.3750

Most intense lines, 10 to 90 degrees two-theta, low angle first:
29.8°, I 100, hkl 3 1 0
35.4°, I 65, hkl 3 2 1
42.6°, I 10, hkl 4 2 0
46.9°, I 17, hkl 4 2 2
48.9°, I 25, hkl 4 3 1
60.1°, I 26, hkl 6 1 1
61.8°, I 12, hkl 6 2 0
63.5°, I 15, hkl 5 4 1
73.3°, I 17, hkl 7 2 1
88.7°, I 11, hkl 7 5 0